1.
For NiSnP2O8, a DFT-relaxed cell (GGA+U, the Materials Project) gives the theoretical PXRD pattern in this record (Cu Kα (λ = 1.5418 Å)).

Most intense lines, 2θ = 10–90°, low angle first:
| Position (°2θ) | intensity |
| --- | --- |
| 17.33 | 16 |
| 17.71 | 64 |
| 20.10 | 23 |
| 25.06 | 100 |
| 25.25 | 16 |
| 30.03 | 51 |
| 35.71 | 39 |
| 35.88 | 36 |
| 36.38 | 16 |
| 50.41 | 15 |

Structure:
```
data_NiSnP2O8
_chemical_formula_sum 'Ni4 Sn4 P8 O32'
_cell_length_a 4.938
_cell_length_b 11.653
_cell_length_c 11.653
_cell_angle_alpha 61.42
_cell_angle_beta 89.70
_cell_angle_gamma 89.69
_symmetry_space_group_name_H-M 'P 1'
_symmetry_Int_Tables_number 1
loop_
_symmetry_equiv_pos_as_xyz
'x,y,z'
loop_
_atom_site_label
_atom_site_type_symbol
_atom_site_fract_x
_atom_site_fract_y
_atom_site_fract_z
Ni1 Ni 0.000 0.000 0.000
Ni2 Ni 0.000 0.500 0.500
Ni3 Ni 0.879 0.475 0.974
Ni4 Ni 0.880 0.974 0.474
Sn1 Sn 0.392 0.250 0.250
Sn2 Sn 0.392 0.750 0.750
Sn3 Sn 0.488 0.225 0.724
Sn4 Sn 0.488 0.725 0.224
P1 P 0.050 0.317 0.817
P2 P 0.050 0.817 0.317
P3 P 0.342 0.065 0.565
P4 P 0.342 0.565 0.065
P5 P 0.538 0.410 0.409
P6 P 0.538 0.910 0.909
P7 P 0.830 0.157 0.157
P8 P 0.830 0.657 0.657
O1 O 0.100 0.391 0.891
O2 O 0.100 0.891 0.391
O3 O 0.137 0.671 0.671
O4 O 0.138 0.171 0.171
O5 O 0.193 0.428 0.132
O6 O 0.193 0.632 0.927
O7 O 0.193 0.928 0.632
O8 O 0.194 0.132 0.427
O9 O 0.198 0.178 0.879
O10 O 0.198 0.379 0.678
O11 O 0.198 0.678 0.379
O12 O 0.198 0.879 0.178
O13 O 0.235 0.419 0.419
O14 O 0.235 0.919 0.919
O15 O 0.261 0.140 0.640
O16 O 0.261 0.640 0.140
O17 O 0.619 0.335 0.334
O18 O 0.619 0.835 0.834
O19 O 0.644 0.556 0.055
O20 O 0.645 0.056 0.556
O21 O 0.682 0.095 0.296
O22 O 0.682 0.296 0.095
O23 O 0.682 0.595 0.796
O24 O 0.682 0.796 0.595
O25 O 0.686 0.047 0.843
O26 O 0.686 0.343 0.547
O27 O 0.686 0.547 0.343
O28 O 0.686 0.843 0.047
O29 O 0.742 0.303 0.803
O30 O 0.742 0.803 0.303
O31 O 0.780 0.084 0.083
O32 O 0.780 0.584 0.583
```

***

2.
For Ba4Ta10CoO30, a DFT-relaxed cell (GGA+U, the Materials Project) gives the theoretical PXRD pattern in this record (Cu Kα (λ = 1.5418 Å)).

Most intense lines, 2θ = 10–90°, low angle first:
| Position (°2θ) | intensity |
| --- | --- |
| 22.48 | 65 |
| 26.52 | 100 |
| 28.42 | 53 |
| 29.12 | 89 |
| 29.91 | 95 |
| 30.59 | 40 |
| 35.04 | 48 |
| 45.90 | 59 |
| 53.14 | 60 |
| 55.04 | 41 |

Structure:
```
data_Ba4Ta10CoO30
_chemical_formula_sum 'Ba4 Ta10 Co1 O30'
_cell_length_a 10.019
_cell_length_b 10.019
_cell_length_c 10.019
_cell_angle_alpha 133.51
_cell_angle_beta 117.88
_cell_angle_gamma 81.02
_symmetry_space_group_name_H-M 'P 1'
_symmetry_Int_Tables_number 1
loop_
_symmetry_equiv_pos_as_xyz
'x,y,z'
loop_
_atom_site_label
_atom_site_type_symbol
_atom_site_fract_x
_atom_site_fract_y
_atom_site_fract_z
Ba1 Ba 0.000 0.000 0.000
Ba2 Ba 0.396 0.396 0.000
Ba3 Ba 0.397 0.897 0.500
Ba4 Ba 0.987 0.487 0.500
Ta1 Ta 0.007 0.071 0.432
Ta2 Ta 0.007 0.575 0.937
Ta3 Ta 0.194 0.444 0.250
Ta4 Ta 0.194 0.944 0.750
Ta5 Ta 0.388 0.320 0.567
Ta6 Ta 0.388 0.821 0.068
Ta7 Ta 0.639 0.071 0.063
Ta8 Ta 0.639 0.575 0.568
Ta9 Ta 0.752 0.320 0.932
Ta10 Ta 0.752 0.821 0.433
Co1 Co 0.717 0.217 0.500
O1 O 0.004 0.815 0.189
O2 O 0.157 0.050 0.630
O3 O 0.157 0.527 0.107
O4 O 0.189 0.189 0.000
O5 O 0.190 0.204 0.511
O6 O 0.190 0.679 0.986
O7 O 0.199 0.699 0.500
O8 O 0.229 0.349 0.382
O9 O 0.229 0.847 0.880
O10 O 0.369 0.048 0.321
O11 O 0.394 0.570 0.823
O12 O 0.420 0.050 0.893
O13 O 0.420 0.527 0.370
O14 O 0.521 0.274 0.753
O15 O 0.521 0.769 0.247
O16 O 0.559 0.404 0.579
O17 O 0.559 0.981 0.155
O18 O 0.626 0.815 0.811
O19 O 0.681 0.326 0.355
O20 O 0.693 0.204 0.014
O21 O 0.693 0.679 0.489
O22 O 0.727 0.048 0.679
O23 O 0.747 0.570 0.177
O24 O 0.826 0.404 0.845
O25 O 0.826 0.981 0.421
O26 O 0.866 0.090 0.225
O27 O 0.866 0.641 0.775
O28 O 0.967 0.349 0.120
O29 O 0.967 0.847 0.618
O30 O 0.971 0.326 0.645
```

***

3.
For ZrCoO3, a DFT-relaxed cell (GGA+U, the Materials Project) gives the theoretical PXRD pattern in this record (Cu Kα (λ = 1.5418 Å)).

Most intense lines, 2θ = 10–90°, low angle first:
| Position (°2θ) | intensity |
| --- | --- |
| 26.40 | 12 |
| 32.32 | 100 |
| 33.09 | 14 |
| 35.67 | 12 |
| 43.09 | 14 |
| 49.45 | 13 |
| 55.16 | 11 |
| 55.39 | 11 |
| 57.14 | 11 |
| 61.98 | 14 |

Structure:
```
data_ZrCoO3
_chemical_formula_sum 'Zr4 Co4 O12'
_cell_length_a 5.034
_cell_length_b 5.414
_cell_length_c 9.786
_cell_angle_alpha 90.00
_cell_angle_beta 120.91
_cell_angle_gamma 90.00
_symmetry_space_group_name_H-M 'P 1'
_symmetry_Int_Tables_number 1
loop_
_symmetry_equiv_pos_as_xyz
'x,y,z'
loop_
_atom_site_label
_atom_site_type_symbol
_atom_site_fract_x
_atom_site_fract_y
_atom_site_fract_z
Zr1 Zr 0.207 0.069 0.250
Zr2 Zr 0.207 0.431 0.750
Zr3 Zr 0.793 0.569 0.250
Zr4 Zr 0.793 0.931 0.750
Co1 Co 0.000 0.000 0.500
Co2 Co 0.000 0.500 0.000
Co3 Co 0.500 0.000 0.000
Co4 Co 0.500 0.500 0.500
O1 O 0.105 0.199 0.909
O2 O 0.105 0.301 0.409
O3 O 0.214 0.700 0.909
O4 O 0.214 0.800 0.409
O5 O 0.418 0.086 0.749
O6 O 0.418 0.414 0.249
O7 O 0.582 0.586 0.751
O8 O 0.582 0.914 0.251
O9 O 0.786 0.200 0.591
O10 O 0.786 0.300 0.091
O11 O 0.895 0.699 0.591
O12 O 0.895 0.801 0.091
```

***

4.
For Ba3MnF6, a DFT-relaxed cell (GGA+U, the Materials Project) gives the theoretical PXRD pattern in this record (Cu Kα (λ = 1.5418 Å)).

Most intense lines, 2θ = 10–90°, low angle first:
| Position (°2θ) | intensity |
| --- | --- |
| 21.64 | 26 |
| 21.86 | 25 |
| 24.79 | 47 |
| 26.22 | 39 |
| 26.87 | 100 |
| 27.36 | 57 |
| 27.62 | 60 |
| 37.35 | 29 |
| 39.14 | 25 |
| 47.62 | 27 |

Structure:
```
data_Ba3MnF6
_chemical_formula_sum 'Ba3 Mn1 F6'
_cell_length_a 4.332
_cell_length_b 7.674
_cell_length_c 7.684
_cell_angle_alpha 116.91
_cell_angle_beta 96.13
_cell_angle_gamma 104.17
_symmetry_space_group_name_H-M 'P 1'
_symmetry_Int_Tables_number 1
loop_
_symmetry_equiv_pos_as_xyz
'x,y,z'
loop_
_atom_site_label
_atom_site_type_symbol
_atom_site_fract_x
_atom_site_fract_y
_atom_site_fract_z
Ba1 Ba 0.000 0.000 0.000
Ba2 Ba 0.000 0.500 0.500
Ba3 Ba 0.500 0.000 0.500
Mn1 Mn 0.000 0.500 0.000
F1 F 0.074 0.289 0.706
F2 F 0.243 0.416 0.189
F3 F 0.388 0.814 0.087
F4 F 0.612 0.186 0.913
F5 F 0.757 0.584 0.811
F6 F 0.926 0.711 0.294
```

***

5.
For Na2VS2O9, a DFT-relaxed cell (GGA+U, the Materials Project) gives the theoretical PXRD pattern in this record (Cu Kα (λ = 1.5418 Å)).

Most intense lines, 2θ = 10–90°, low angle first:
| Position (°2θ) | intensity |
| --- | --- |
| 13.83 | 100 |
| 14.80 | 29 |
| 16.56 | 57 |
| 24.69 | 53 |
| 29.86 | 27 |
| 30.33 | 79 |
| 31.26 | 42 |
| 31.77 | 47 |
| 32.61 | 44 |
| 53.61 | 18 |

Structure:
```
data_Na2VS2O9
_chemical_formula_sum 'Na8 V4 S8 O36'
_cell_length_a 6.399
_cell_length_b 6.916
_cell_length_c 16.902
_cell_angle_alpha 90.00
_cell_angle_beta 90.00
_cell_angle_gamma 90.00
_symmetry_space_group_name_H-M 'P 1'
_symmetry_Int_Tables_number 1
loop_
_symmetry_equiv_pos_as_xyz
'x,y,z'
loop_
_atom_site_label
_atom_site_type_symbol
_atom_site_fract_x
_atom_site_fract_y
_atom_site_fract_z
Na1 Na 0.129 0.107 0.262
Na2 Na 0.187 0.650 0.585
Na3 Na 0.313 0.350 0.085
Na4 Na 0.371 0.893 0.762
Na5 Na 0.629 0.393 0.738
Na6 Na 0.687 0.850 0.415
Na7 Na 0.813 0.150 0.915
Na8 Na 0.871 0.607 0.238
V1 V 0.034 0.649 0.910
V2 V 0.466 0.351 0.410
V3 V 0.534 0.851 0.090
V4 V 0.966 0.149 0.590
S1 S 0.036 0.913 0.068
S2 S 0.144 0.398 0.749
S3 S 0.356 0.602 0.249
S4 S 0.464 0.087 0.568
S5 S 0.536 0.587 0.932
S6 S 0.644 0.102 0.251
S7 S 0.856 0.898 0.751
S8 S 0.964 0.413 0.432
O1 O 0.013 0.449 0.821
O2 O 0.018 0.856 0.814
O3 O 0.022 0.902 0.979
O4 O 0.042 0.487 0.981
O5 O 0.047 0.115 0.092
O6 O 0.149 0.311 0.396
O7 O 0.219 0.799 0.095
O8 O 0.225 0.769 0.267
O9 O 0.228 0.437 0.222
O10 O 0.272 0.563 0.722
O11 O 0.275 0.231 0.767
O12 O 0.281 0.201 0.595
O13 O 0.351 0.689 0.896
O14 O 0.453 0.885 0.592
O15 O 0.458 0.513 0.481
O16 O 0.478 0.098 0.479
O17 O 0.482 0.144 0.314
O18 O 0.487 0.551 0.321
O19 O 0.513 0.051 0.179
O20 O 0.518 0.644 0.186
O21 O 0.522 0.598 0.021
O22 O 0.542 0.013 0.019
O23 O 0.547 0.385 0.908
O24 O 0.649 0.189 0.604
O25 O 0.719 0.701 0.905
O26 O 0.725 0.731 0.733
O27 O 0.728 0.063 0.778
O28 O 0.772 0.937 0.278
O29 O 0.775 0.269 0.233
O30 O 0.781 0.299 0.405
O31 O 0.851 0.811 0.104
O32 O 0.953 0.615 0.408
O33 O 0.958 0.987 0.519
O34 O 0.978 0.402 0.521
O35 O 0.982 0.356 0.686
O36 O 0.987 0.949 0.679
```

***

6.
For Sr2CrSnO6, a DFT-relaxed cell (GGA+U, the Materials Project) gives the theoretical PXRD pattern in this record (Cu Kα (λ = 1.5418 Å)).

Most intense lines, 2θ = 10–90°, low angle first:
| Position (°2θ) | intensity |
| --- | --- |
| 19.21 | 8 |
| 31.62 | 100 |
| 37.27 | 6 |
| 38.99 | 4 |
| 45.33 | 35 |
| 49.66 | 3 |
| 56.32 | 39 |
| 66.04 | 21 |
| 75.07 | 17 |
| 83.74 | 7 |

Structure:
```
data_Sr2CrSnO6
_chemical_formula_sum 'Sr2 Cr1 Sn1 O6'
_cell_length_a 5.659
_cell_length_b 5.659
_cell_length_c 5.659
_cell_angle_alpha 60.00
_cell_angle_beta 60.00
_cell_angle_gamma 60.00
_symmetry_space_group_name_H-M 'P 1'
_symmetry_Int_Tables_number 1
loop_
_symmetry_equiv_pos_as_xyz
'x,y,z'
loop_
_atom_site_label
_atom_site_type_symbol
_atom_site_fract_x
_atom_site_fract_y
_atom_site_fract_z
Sr1 Sr 0.250 0.250 0.250
Sr2 Sr 0.750 0.750 0.750
Cr1 Cr 0.000 0.000 0.000
Sn1 Sn 0.500 0.500 0.500
O1 O 0.244 0.244 0.756
O2 O 0.244 0.756 0.244
O3 O 0.244 0.756 0.756
O4 O 0.756 0.244 0.244
O5 O 0.756 0.244 0.756
O6 O 0.756 0.756 0.244
```

***

7.
For NaPrZrFeO6, a DFT-relaxed cell (GGA+U, the Materials Project) gives the theoretical PXRD pattern in this record (Cu Kα (λ = 1.5418 Å)).

Most intense lines, 2θ = 10–90°, low angle first:
| Position (°2θ) | intensity |
| --- | --- |
| 19.23 | 41 |
| 31.66 | 100 |
| 37.31 | 24 |
| 45.38 | 37 |
| 49.71 | 11 |
| 56.39 | 39 |
| 60.15 | 8 |
| 66.12 | 22 |
| 69.57 | 8 |
| 75.17 | 16 |

Structure:
```
data_NaPrZrFeO6
_chemical_formula_sum 'Na1 Pr1 Zr1 Fe1 O6'
_cell_length_a 5.653
_cell_length_b 5.653
_cell_length_c 5.653
_cell_angle_alpha 60.00
_cell_angle_beta 60.00
_cell_angle_gamma 60.00
_symmetry_space_group_name_H-M 'P 1'
_symmetry_Int_Tables_number 1
loop_
_symmetry_equiv_pos_as_xyz
'x,y,z'
loop_
_atom_site_label
_atom_site_type_symbol
_atom_site_fract_x
_atom_site_fract_y
_atom_site_fract_z
Na1 Na 0.000 0.000 0.000
Pr1 Pr 0.500 0.500 0.500
Zr1 Zr 0.750 0.750 0.750
Fe1 Fe 0.250 0.250 0.250
O1 O 0.008 0.008 0.492
O2 O 0.008 0.492 0.008
O3 O 0.008 0.492 0.492
O4 O 0.492 0.008 0.008
O5 O 0.492 0.008 0.492
O6 O 0.492 0.492 0.008
```